Computed powder XRD pattern of Li9Mn2Co5O16 for a wavelength of 1.5418 Å, from the PBE+U geometry in the Materials Project.

Atomic structure:
Cell: 5.076 5.973 10.143 Å, 89.48 79.15 74.02°
Space group P1 (No. 1)
Asymmetric unit:
1 Li 0.000 0.000 0.000
2 Li 0.001 0.000 0.499
3 Li 0.006 0.496 0.497
4 Li 0.479 0.632 0.381
5 Li 0.492 0.122 0.866
6 Li 0.504 0.873 0.131
7 Li 0.506 0.364 0.616
8 Li 0.983 0.755 0.261
9 Li 0.987 0.246 0.732
10 Mn 0.496 0.625 0.871
11 Mn 0.993 0.501 0.999
12 Co 0.008 0.758 0.732
13 Co 0.484 0.373 0.135
14 Co 0.494 0.120 0.373
15 Co 0.516 0.883 0.610
16 Co 0.989 0.243 0.258
17 O 0.221 0.217 0.062
18 O 0.240 0.686 0.571
19 O 0.241 0.671 0.048
20 O 0.244 0.442 0.300
21 O 0.247 0.454 0.826
22 O 0.258 0.964 0.310
23 O 0.266 0.908 0.811
24 O 0.269 0.176 0.550
25 O 0.732 0.077 0.191
26 O 0.733 0.572 0.699
27 O 0.736 0.295 0.421
28 O 0.736 0.802 0.444
29 O 0.737 0.344 0.943
30 O 0.747 0.046 0.690
31 O 0.750 0.780 0.933
32 O 0.758 0.548 0.173

Principal peaks in the range 10° ≤ 2θ ≤ 80°, low angle first:
Position (°2θ)	intensity	hkl
18.20	100	0 1 1
35.47	15	1 -1 3
35.89	13	2 1 1
36.41	11	1 1 -3
37.59	7	2 0 0
42.76	29	1 -2 2
43.31	27	2 2 2
44.15	25	1 0 -4
47.55	8	-2 1 1
62.18	8	1 4 0
62.79	15	3 0 4
62.94	7	1 2 6

Computed powder XRD pattern of LiV6F13 for a wavelength of 1.5418 Å, from the PBE+U geometry in the Materials Project.

Atomic structure:
Cell: 8.068 8.117 10.234 Å, 75.89 75.53 62.44°
Space group P-1 (No. 2)
Asymmetric unit:
1 Li 0.219 0.159 0.055
2 V 0.062 0.557 0.240
3 V 0.154 0.083 0.502
4 V 0.279 0.632 0.502
5 V 0.387 0.167 0.745
6 V 0.422 0.715 0.022
7 V 0.492 0.259 0.273
8 F 0.011 0.661 0.622
9 F 0.118 0.900 0.399
10 F 0.157 0.749 0.120
11 F 0.160 0.328 0.884
12 F 0.162 0.242 0.637
13 F 0.266 0.475 0.371
14 F 0.294 0.813 0.615
15 F 0.298 0.324 0.132
16 F 0.323 0.942 0.861
17 F 0.409 0.914 0.127
18 F 0.417 0.041 0.380
19 F 0.428 0.555 0.879
20 F 0.456 0.384 0.615

Principal peaks in the range 10° ≤ 2θ ≤ 80°, low angle first:
Position (°2θ)	intensity	hkl
12.53	83	1 0 0
18.20	48	1 1 -1
19.17	100	1 1 2
25.54	45	1 1 -2
26.53	47	1 2 -1
30.87	48	1 2 3
34.32	39	2 0 3
38.52	43	2 3 3
39.11	47	3 1 3
48.51	38	-1 2 4
50.47	35	2 3 5
51.34	66	1 -2 4

Computed powder XRD pattern of Li7Mn10Cr6O32 for a wavelength of 1.5418 Å, from the PBE+U geometry in the Materials Project.

Atomic structure:
Cell: 5.877 5.907 19.516 Å, 81.74 81.44 60.33°
Space group P1 (No. 1)
Asymmetric unit:
1 Li 0.000 0.000 0.000
2 Li 0.053 0.078 0.811
3 Li 0.243 0.253 0.249
4 Li 0.313 0.324 0.060
5 Li 0.556 0.577 0.311
6 Li 0.752 0.749 0.747
7 Li 0.805 0.829 0.559
8 Mn 0.028 0.041 0.405
9 Mn 0.030 0.537 0.905
10 Mn 0.154 0.164 0.528
11 Mn 0.280 0.290 0.654
12 Mn 0.525 0.041 0.405
13 Mn 0.528 0.537 0.905
14 Mn 0.656 0.661 0.030
15 Mn 0.776 0.290 0.654
16 Mn 0.778 0.789 0.155
17 Mn 0.900 0.916 0.280
18 Cr 0.028 0.538 0.405
19 Cr 0.278 0.789 0.155
20 Cr 0.280 0.787 0.653
21 Cr 0.402 0.414 0.780
22 Cr 0.528 0.038 0.905
23 Cr 0.778 0.289 0.155
24 O 0.066 0.638 0.215
25 O 0.070 0.082 0.217
26 O 0.090 0.113 0.706
27 O 0.126 0.578 0.712
28 O 0.175 0.752 0.344
29 O 0.216 0.215 0.352
30 O 0.223 0.248 0.847
31 O 0.228 0.695 0.847
32 O 0.321 0.893 0.463
33 O 0.327 0.324 0.464
34 O 0.340 0.361 0.958
35 O 0.381 0.825 0.966
36 O 0.427 0.002 0.594
37 O 0.468 0.462 0.603
38 O 0.486 0.495 0.093
39 O 0.490 0.940 0.095
40 O 0.577 0.134 0.711
41 O 0.583 0.578 0.712
42 O 0.598 0.610 0.208
43 O 0.625 0.079 0.215
44 O 0.679 0.249 0.847
45 O 0.716 0.715 0.853
46 O 0.726 0.752 0.345
47 O 0.730 0.192 0.346
48 O 0.826 0.386 0.965
49 O 0.831 0.825 0.965
50 O 0.840 0.864 0.457
51 O 0.885 0.323 0.464
52 O 0.931 0.499 0.095
53 O 0.957 0.968 0.102
54 O 0.978 0.002 0.593
55 O 0.983 0.440 0.594

Principal peaks in the range 10° ≤ 2θ ≤ 80°, low angle first:
Position (°2θ)	intensity	hkl
18.30	40	0 1 -1
18.46	100	1 0 -1
35.55	15	1 -1 4
35.72	31	2 2 0
35.81	16	2 1 5
37.39	7	0 0 8
43.40	76	2 0 6
57.53	8	0 2 10
62.76	15	2 -2 0
62.94	7	2 4 2
63.19	7	2 0 -10
63.32	15	4 2 2

Computed powder XRD pattern of MgMn6O8F4 for a wavelength of 1.5418 Å, from the PBE+U geometry in the Materials Project.

Atomic structure:
Cell: 5.341 5.342 9.071 Å, 89.66 89.66 72.91°
Space group P1 (No. 1)
Asymmetric unit:
1 Mg 0.000 0.000 0.000
2 Mn 0.188 0.189 0.509
3 Mn 0.257 0.259 0.185
4 Mn 0.261 0.263 0.830
5 Mn 0.669 0.670 0.002
6 Mn 0.730 0.732 0.674
7 Mn 0.740 0.742 0.357
8 O 0.023 0.410 0.675
9 O 0.032 0.422 0.343
10 O 0.377 0.001 0.012
11 O 0.409 0.026 0.675
12 O 0.421 0.034 0.343
13 O 0.602 0.605 0.509
14 O 0.833 0.834 0.864
15 O 0.999 0.378 0.012
16 F 0.498 0.502 0.841
17 F 0.506 0.509 0.155
18 F 0.875 0.876 0.174
19 F 0.929 0.930 0.512

Principal peaks in the range 10° ≤ 2θ ≤ 80°, low angle first:
Position (°2θ)	intensity	hkl
20.67	100	1 1 0
28.11	69	1 -1 0
34.40	36	1 0 3
34.54	25	1 0 -3
35.15	11	0 2 0
42.06	14	2 2 0
45.76	19	2 1 3
46.09	22	2 1 -3
53.91	19	2 -1 3
54.00	14	-2 1 3
62.51	13	3 0 3
62.77	13	3 0 -3